Structure and simulated powder X-ray diffraction pattern of Be4GaCo5 (a crystal structure in Alexandria, relaxed with GGA-PBE; Cu Ka).
Peak positions follow from Bragg's law for the DFT cell and can differ from measured ones.

Top 6 peaks for 5° ≤ 2θ ≤ 70°, by angle:
| 2θ/deg | Rel. int. |
| --- | --- |
| 6.64 | 27 |
| 33.65 | 11 |
| 33.76 | 29 |
| 34.44 | 8 |
| 43.60 | 10 |
| 48.44 | 100 |

Cell lengths 2.655, 2.655, 13.315 Å; angles 90.00, 90.00, 90.00 degrees
Fractional positions:
Be1 0.000 0.000 0.095
Be2 0.000 0.000 0.284
Be3 0.000 0.000 0.716
Be4 0.000 0.000 0.905
Ga1 0.000 0.000 0.500
Co1 0.500 0.500 0.000
Co2 0.500 0.500 0.190
Co3 0.500 0.500 0.381
Co4 0.500 0.500 0.619
Co5 0.500 0.500 0.810

=====

Structure and simulated powder X-ray diffraction pattern of PmPuTh2 (a crystal structure in Alexandria, relaxed with GGA-PBE; Cu Ka).
Peak positions follow from Bragg's law for the DFT cell and can differ from measured ones.

Top 6 peaks for 5° ≤ 2θ ≤ 70°, by angle:
| 2θ/deg | Rel. int. |
| --- | --- |
| 29.49 | 33 |
| 31.11 | 43 |
| 31.85 | 100 |
| 34.36 | 65 |
| 51.44 | 34 |
| 61.35 | 39 |

Cell lengths 3.553, 3.553, 34.500 Å; angles 90.00, 90.00, 120.00 degrees
Fractional positions:
Pm1 0.000 0.000 0.000
Pm2 0.333 0.667 0.667
Pm3 0.667 0.333 0.333
Pu1 0.000 0.000 0.170
Pu2 0.333 0.667 0.837
Pu3 0.667 0.333 0.503
Th1 0.000 0.000 0.581
Th2 0.000 0.000 0.755
Th3 0.333 0.667 0.248
Th4 0.333 0.667 0.422
Th5 0.667 0.333 0.088
Th6 0.667 0.333 0.915

=====

Structure and simulated powder X-ray diffraction pattern of Rb2URuO6 (a crystal structure in Alexandria, relaxed with GGA-PBE; Cu Ka).
Peak positions follow from Bragg's law for the DFT cell and can differ from measured ones.

Top 6 peaks for 5° ≤ 2θ ≤ 70°, by angle:
| 2θ/deg | Rel. int. |
| --- | --- |
| 17.80 | 20 |
| 28.69 | 100 |
| 30.41 | 42 |
| 43.55 | 25 |
| 49.72 | 20 |
| 52.99 | 37 |

Cell lengths 6.270, 6.270, 6.270 Å; angles 124.09, 124.09, 83.05 degrees
Fractional positions:
Rb1 0.250 0.750 0.500
Rb2 0.750 0.250 0.500
U1 0.000 0.000 0.000
Ru1 0.500 0.500 0.000
O1 0.206 0.206 0.000
O2 0.265 0.265 0.530
O3 0.265 0.735 0.000
O4 0.735 0.265 0.000
O5 0.735 0.735 0.470
O6 0.794 0.794 0.000

=====

Structure and simulated powder X-ray diffraction pattern of Sm3PaSe4 (a crystal structure in Alexandria, relaxed with GGA-PBE; Cu Ka).
Peak positions follow from Bragg's law for the DFT cell and can differ from measured ones.

Top 6 peaks for 5° ≤ 2θ ≤ 70°, by angle:
| 2θ/deg | Rel. int. |
| --- | --- |
| 26.53 | 18 |
| 30.50 | 100 |
| 43.17 | 38 |
| 44.17 | 36 |
| 54.62 | 19 |
| 63.48 | 12 |

Cell lengths 14.043, 14.043, 14.043 Å; angles 16.79, 16.79, 16.79 degrees
Fractional positions:
Sm1 0.000 0.000 0.000
Sm2 0.249 0.249 0.249
Sm3 0.751 0.751 0.751
Pa1 0.500 0.500 0.500
Se1 0.126 0.126 0.126
Se2 0.375 0.375 0.375
Se3 0.625 0.625 0.625
Se4 0.874 0.874 0.874